Structure and theoretical X-ray powder pattern of Ca5AlAg4 (a PBE-relaxed structure; CuKα).
Neutral-atom scattering factors, no anomalous dispersion.

Most intense lines, 15 to 90 degrees two-theta, sorted by position:
2θ 23.86, intensity 18; 2θ 24.15, intensity 9; 2θ 34.00, intensity 51; 2θ 34.21, intensity 100; 2θ 42.14, intensity 8; 2θ 48.84, intensity 18; 2θ 49.47, intensity 8; 2θ 60.97, intensity 34; 2θ 61.38, intensity 17; 2θ 72.06, intensity 10

Crystal structure
```
Ca5AlAg4
1.0
3.729 0.000 0.000
0.000 3.729 0.000
0.000 0.000 18.426
Ca Al Ag
5 1 4
Direct
0.000 0.000 0.000
0.000 0.000 0.199
0.000 0.000 0.399
0.000 0.000 0.601
0.000 0.000 0.801
0.500 0.500 0.500
0.500 0.500 0.100
0.500 0.500 0.300
0.500 0.500 0.700
0.500 0.500 0.900
```